# Nd3MnGaS7
Computed XRD peak list, Cu Kα (weighted mean of Kα1 and Kα2). Input: a crystal structure in Alexandria, relaxed with GGA-PBE.
Intensities are scaled so that the largest is 100.

Most intense lines, 2θ = 10–90°, sorted by position:
17.5 deg, intensity 23; 22.8 deg, intensity 18; 25.1 deg, intensity 100; 27.3 deg, intensity 24; 34.3 deg, intensity 34; 35.5 deg, intensity 39; 35.9 deg, intensity 38; 40.0 deg, intensity 24; 40.3 deg, intensity 21; 48.1 deg, intensity 21; 48.6 deg, intensity 21; 50.5 deg, intensity 21

Unit cell a=9.995 b=9.995 c=6.228 alpha=90.00 beta=90.00 gamma=120.00
Fractional positions:
Nd 0.151 0.377 0.000
Nd 0.227 0.849 0.000
Nd 0.377 0.227 0.500
Nd 0.623 0.773 0.000
Nd 0.773 0.151 0.500
Nd 0.849 0.623 0.500
Mn 0.000 0.000 0.299
Mn 0.000 0.000 0.799
Ga 0.333 0.667 0.422
Ga 0.667 0.333 0.922
S 0.093 0.574 0.270
S 0.098 0.238 0.575
S 0.140 0.902 0.575
S 0.238 0.140 0.075
S 0.333 0.667 0.786
S 0.426 0.520 0.270
S 0.480 0.907 0.270
S 0.520 0.093 0.770
S 0.574 0.480 0.770
S 0.667 0.333 0.286
S 0.762 0.860 0.575
S 0.860 0.098 0.075
S 0.902 0.762 0.075
S 0.907 0.426 0.770

***

# TbCu2Sb2
Computed XRD peak list, Cu Kα (weighted mean of Kα1 and Kα2). Input: a crystal structure in Alexandria, relaxed with GGA-PBE.
Intensities are scaled so that the largest is 100.

Most intense lines, 2θ = 10–90°, sorted by position:
23.8 deg, intensity 13; 26.1 deg, intensity 12; 31.7 deg, intensity 57; 32.0 deg, intensity 19; 34.9 deg, intensity 14; 35.6 deg, intensity 100; 38.4 deg, intensity 14; 41.8 deg, intensity 32; 41.9 deg, intensity 34; 53.6 deg, intensity 16; 60.7 deg, intensity 21; 70.2 deg, intensity 14

Unit cell a=11.398 b=11.398 c=4.308 alpha=90.00 beta=90.00 gamma=158.13
Fractional positions:
Tb 0.139 0.861 0.750
Tb 0.861 0.139 0.250
Cu 0.029 0.971 0.250
Cu 0.470 0.530 0.250
Cu 0.530 0.470 0.750
Cu 0.971 0.029 0.750
Sb 0.250 0.750 0.250
Sb 0.400 0.600 0.750
Sb 0.600 0.400 0.250
Sb 0.750 0.250 0.750

***

# SnHIr
Computed XRD peak list, Cu Kα (weighted mean of Kα1 and Kα2). Input: a crystal structure in Alexandria, relaxed with GGA-PBE.
Intensities are scaled so that the largest is 100.

Most intense lines, 2θ = 10–90°, sorted by position:
14.2 deg, intensity 100; 15.7 deg, intensity 33; 32.0 deg, intensity 39; 32.7 deg, intensity 22; 34.8 deg, intensity 15; 35.0 deg, intensity 16; 40.9 deg, intensity 46; 43.1 deg, intensity 60; 43.4 deg, intensity 20; 43.6 deg, intensity 11; 45.5 deg, intensity 11; 75.9 deg, intensity 15

Unit cell a=5.651 b=3.134 c=6.226 alpha=90.00 beta=90.42 gamma=90.00
Fractional positions:
Sn 0.001 0.000 0.268
Sn 0.999 0.000 0.732
H 0.498 0.500 0.823
H 0.502 0.500 0.177
Ir 0.256 0.500 0.001
Ir 0.744 0.500 0.999